Structure and calculated X-ray powder pattern of Li2Ti3FeO8 (a crystal structure in Alexandria, relaxed with GGA+U; a wavelength of 1.5418 Å).
Peak positions follow from Bragg's law for the DFT cell and can differ from measured ones.

Atomic structure:
Cell: 5.9296 5.9296 9.7015 Å, 90.00 90.00 120.00°
Space group P6_3mc (No. 186)
Unique sites:
Li: 0.0000 0.0000 0.0000 [2 per cell]
Li: 0.3333 0.6667 0.1027 [2 per cell]
Ti: 0.1693 0.3386 0.7818 [6 per cell]
Fe: 0.3333 0.6667 0.5067 [2 per cell]
O: 0.0000 0.0000 0.1840 [2 per cell]
O: 0.0376 0.5188 0.6622 [6 per cell]
O: 0.1619 0.3238 0.3943 [6 per cell]
O: 0.3333 0.6667 0.8924 [2 per cell]

Peak list (10 most intense, 10° ≤ 2θ ≤ 90°, low angle first)
- 18.29°, 4.851 Å, I 485, hkl 0 0 2
- 19.56°, 4.539 Å, I 1000, hkl 1 0 1
- 25.26°, 3.526 Å, I 321, hkl 1 0 2
- 32.73°, 2.736 Å, I 360, hkl 1 0 3
- 35.49°, 2.530 Å, I 568, hkl 1 1 2
- 36.19°, 2.482 Å, I 372, hkl 2 0 1
- 39.72°, 2.269 Å, I 403, hkl 2 0 2
- 45.09°, 2.011 Å, I 553, hkl 2 0 3
- 59.74°, 1.548 Å, I 441, hkl 2 0 5
- 62.67°, 1.482 Å, I 402, hkl 2 2 0